The following is a computed powder X-ray diffraction pattern of BiSe2O5. It was derived from the GGA-PBE geometry in Alexandria, using Cu Kα, 1.54184 Å.
Intensities are scaled so that the largest is 100.

Largest 8 diffraction maxima, low angle first, 15° ≤ 2θ ≤ 90°:
2theta  I (rel.)
19.0  76
20.5  26
23.9  37
24.5  31
27.9  29
28.3  100
28.6  29
30.4  72

Cell and atoms:
```
data_BiSe2O5
_space_group_name_H-M_alt 'P b c n'
_space_group_IT_number 60
_cell_length_a 7.2714
_cell_length_b 10.6863
_cell_length_c 7.3988
_cell_angle_alpha 90.00
_cell_angle_beta 90.00
_cell_angle_gamma 90.00
loop_
_space_group_symop_operation_xyz
'x,y,z'
'-x,-y,-z'
'-x+1/2,-y+1/2,z+1/2'
'x+1/2,y+1/2,-z+1/2'
'x+1/2,-y+1/2,-z'
'-x+1/2,y+1/2,z'
'-x,y,-z+1/2'
'x,-y,z+1/2'
loop_
_atom_site_label
_atom_site_type_symbol
_atom_site_fract_x
_atom_site_fract_y
_atom_site_fract_z
Bi1 Bi 0.0000 0.0668 0.2500
Se1 Se 0.1071 0.3543 0.0340
O1 O 0.0000 0.4276 0.2500
O2 O 0.1786 0.0714 0.5182
O3 O 0.1834 0.2176 0.1438
```

=====

The following is a computed powder X-ray diffraction pattern of Bi2Te2SeO10. It was derived from the GGA-PBE geometry in Alexandria, using Cu Kα, 1.54184 Å.
Intensities are scaled so that the largest is 100.

Largest 8 diffraction maxima, low angle first, 15° ≤ 2θ ≤ 90°:
2theta  I (rel.)
18.5  22
20.7  19
25.9  100
26.7  55
26.9  50
28.3  47
31.8  25
46.7  20

Cell and atoms:
```
data_Bi2Te2SeO10
_space_group_name_H-M_alt 'C 1 2/c 1'
_space_group_IT_number 15
_cell_length_a 16.0615
_cell_length_b 8.0106
_cell_length_c 8.1854
_cell_angle_alpha 90.00
_cell_angle_beta 110.75
_cell_angle_gamma 90.00
loop_
_space_group_symop_operation_xyz
'x,y,z'
'-x,-y,-z'
'-x,y,-z+1/2'
'x,-y,z+1/2'
'x+1/2,y+1/2,z'
'-x+1/2,-y+1/2,-z'
'-x+1/2,y+1/2,-z+1/2'
'x+1/2,-y+1/2,z+1/2'
loop_
_atom_site_label
_atom_site_type_symbol
_atom_site_fract_x
_atom_site_fract_y
_atom_site_fract_z
Bi1 Bi 0.1805 0.1597 0.1441
Te1 Te 0.1186 0.4325 0.4752
Se1 Se 0.0000 0.1065 0.7500
O1 O 0.0154 0.2258 0.9277
O2 O 0.0929 0.0095 0.3061
O3 O 0.1251 0.3744 0.2519
O4 O 0.1978 0.2770 0.6238
O5 O 0.2034 0.3880 0.0045
```

=====

The following is a computed powder X-ray diffraction pattern of SiBi3O7. It was derived from the GGA-PBE geometry in Alexandria, using Cu Kα, 1.54184 Å.
Intensities are scaled so that the largest is 100.

Largest 8 diffraction maxima, low angle first, 15° ≤ 2θ ≤ 90°:
2theta  I (rel.)
21.6  27
27.3  92
30.1  100
33.3  61
46.0  41
47.9  27
49.2  43
58.0  36

Cell and atoms:
```
data_SiBi3O7
_space_group_name_H-M_alt 'P 63'
_space_group_IT_number 173
_cell_length_a 8.2197
_cell_length_b 8.2197
_cell_length_c 5.3689
_cell_angle_alpha 90.00
_cell_angle_beta 90.00
_cell_angle_gamma 120.00
loop_
_space_group_symop_operation_xyz
'x,y,z'
'x-y,x,z+1/2'
'-y,x-y,z'
'-x,-y,z+1/2'
'-x+y,-x,z'
'y,-x+y,z+1/2'
loop_
_atom_site_label
_atom_site_type_symbol
_atom_site_fract_x
_atom_site_fract_y
_atom_site_fract_z
Si1 Si 0.3333 0.6667 0.0000
Bi1 Bi 0.0986 0.3435 0.4702
O1 O 0.0834 0.2442 0.8507
O2 O 0.1215 0.5892 0.1250
O3 O 0.3333 0.6667 0.6921
```

=====

The following is a computed powder X-ray diffraction pattern of Sm2Bi2O. It was derived from the GGA-PBE geometry in Alexandria, using Cu Kα, 1.54184 Å.
Intensities are scaled so that the largest is 100.

Largest 8 diffraction maxima, low angle first, 15° ≤ 2θ ≤ 90°:
2theta  I (rel.)
29.1  100
30.2  51
32.3  92
32.7  23
42.9  27
53.3  21
56.9  16
58.1  18

Cell and atoms:
```
data_Sm2Bi2O
_space_group_name_H-M_alt 'C 1 2/m 1'
_space_group_IT_number 12
_cell_length_a 13.6885
_cell_length_b 4.2191
_cell_length_c 11.6013
_cell_angle_alpha 90.00
_cell_angle_beta 123.64
_cell_angle_gamma 90.00
loop_
_space_group_symop_operation_xyz
'x,y,z'
'-x,-y,-z'
'-x,y,-z'
'x,-y,z'
'x+1/2,y+1/2,z'
'-x+1/2,-y+1/2,-z'
'-x+1/2,y+1/2,-z'
'x+1/2,-y+1/2,z'
loop_
_atom_site_label
_atom_site_type_symbol
_atom_site_fract_x
_atom_site_fract_y
_atom_site_fract_z
Sm1 Sm 0.0302 0.0000 0.1933
Sm2 Sm 0.1966 0.0000 0.5807
Bi1 Bi 0.0500 0.5000 0.6594
Bi2 Bi 0.1363 0.5000 0.0655
O1 O 0.2113 0.0000 0.3927
```

=====

The following is a computed powder X-ray diffraction pattern of SmBi3O6. It was derived from the GGA-PBE geometry in Alexandria, using Cu Kα, 1.54184 Å.
Intensities are scaled so that the largest is 100.

Largest 8 diffraction maxima, low angle first, 15° ≤ 2θ ≤ 90°:
2theta  I (rel.)
28.7  100
28.9  86
41.2  40
46.4  24
50.9  27
51.0  42
67.5  16
82.1  24

Cell and atoms:
```
data_SmBi3O6
_space_group_name_H-M_alt 'R 3'
_space_group_IT_number 146
_space_group_name_Hall 'R 3'
_cell_length_a 6.2151
_cell_length_b 6.2151
_cell_length_c 15.0961
_cell_angle_alpha 90.00
_cell_angle_beta 90.00
_cell_angle_gamma 120.00
loop_
_atom_site_label
_atom_site_type_symbol
_atom_site_fract_x
_atom_site_fract_y
_atom_site_fract_z
Sm1 Sm 0.0000 0.0000 0.0000
Bi1 Bi 0.0000 0.0000 0.2179
Bi2 Bi 0.0000 0.0000 0.5046
Bi3 Bi 0.0000 0.0000 0.7220
O1 O 0.0304 0.2839 0.6129
O2 O 0.0673 0.6707 0.7833
```

=====

The following is a computed powder X-ray diffraction pattern of Sm2Bi2O7. It was derived from the GGA-PBE geometry in Alexandria, using Cu Kα, 1.54184 Å.
Intensities are scaled so that the largest is 100.

Largest 8 diffraction maxima, low angle first, 15° ≤ 2θ ≤ 90°:
2theta  I (rel.)
26.7  100
27.6  43
29.6  40
31.7  48
32.8  20
44.9  30
47.6  24
51.9  16

Cell and atoms:
```
data_Sm2Bi2O7
_space_group_name_H-M_alt 'C 1 m 1'
_space_group_IT_number 8
_cell_length_a 7.6225
_cell_length_b 8.4117
_cell_length_c 5.4805
_cell_angle_alpha 90.00
_cell_angle_beta 94.31
_cell_angle_gamma 90.00
loop_
_space_group_symop_operation_xyz
'x,y,z'
'x,-y,z'
'x+1/2,y+1/2,z'
'x+1/2,-y+1/2,z'
loop_
_atom_site_label
_atom_site_type_symbol
_atom_site_fract_x
_atom_site_fract_y
_atom_site_fract_z
Sm1 Sm 0.0000 0.2342 0.0000
Bi1 Bi 0.2251 0.0000 0.4933
Bi2 Bi 0.2423 0.5000 0.5379
O1 O 0.0221 0.0000 0.7454
O2 O 0.2359 0.3060 0.7896
O3 O 0.2881 0.1919 0.2749
O4 O 0.4378 0.0000 0.7587
O5 O 0.4828 0.5000 0.2533
```

=====

The following is a computed powder X-ray diffraction pattern of Sm2Ti3Bi2O12. It was derived from the GGA-PBE geometry in Alexandria, using Cu Kα, 1.54184 Å.
Intensities are scaled so that the largest is 100.

Largest 8 diffraction maxima, low angle first, 15° ≤ 2θ ≤ 90°:
2theta  I (rel.)
26.9  15
30.0  100
33.1  39
38.0  13
39.8  18
47.6  31
51.3  21
57.3  33

Cell and atoms:
```
data_Sm2Ti3Bi2O12
_space_group_name_H-M_alt 'I 4/m m m'
_space_group_IT_number 139
_space_group_name_Hall '-I 4 2'
_cell_length_a 3.8220
_cell_length_b 3.8220
_cell_length_c 33.1547
_cell_angle_alpha 90.00
_cell_angle_beta 90.00
_cell_angle_gamma 90.00
loop_
_atom_site_label
_atom_site_type_symbol
_atom_site_fract_x
_atom_site_fract_y
_atom_site_fract_z
Sm1 Sm 0.0000 0.0000 0.0657
Ti1 Ti 0.0000 0.0000 0.3735
Ti2 Ti 0.0000 0.0000 0.5000
Bi1 Bi 0.0000 0.0000 0.2110
O1 O 0.0000 0.0000 0.3193
O2 O 0.0000 0.0000 0.4415
O3 O 0.0000 0.5000 0.0000
O4 O 0.0000 0.5000 0.1131
O5 O 0.0000 0.5000 0.2500
```

=====

The following is a computed powder X-ray diffraction pattern of Sm4TlBiO. It was derived from the GGA-PBE geometry in Alexandria, using Cu Kα, 1.54184 Å.
Intensities are scaled so that the largest is 100.

Largest 8 diffraction maxima, low angle first, 15° ≤ 2θ ≤ 90°:
2theta  I (rel.)
28.8  60
29.1  59
30.2  55
31.7  44
33.8  77
34.1  76
38.7  100
49.9  55

Cell and atoms:
```
data_Sm4TlBiO
_space_group_name_H-M_alt 'C m c m'
_space_group_IT_number 63
_space_group_name_Hall '-C 2c 2'
_cell_length_a 6.6153
_cell_length_b 17.7380
_cell_length_c 6.5426
_cell_angle_alpha 90.00
_cell_angle_beta 90.00
_cell_angle_gamma 90.00
loop_
_atom_site_label
_atom_site_type_symbol
_atom_site_fract_x
_atom_site_fract_y
_atom_site_fract_z
Sm1 Sm 0.0000 0.0650 0.2500
Sm2 Sm 0.0000 0.4192 0.2500
Sm3 Sm 0.2500 0.2500 0.0000
Tl1 Tl 0.0000 0.1127 0.7500
Bi1 Bi 0.0000 0.3901 0.7500
O1 O 0.0000 0.2866 0.2500
```

=====

The following is a computed powder X-ray diffraction pattern of Sm2TmBi2O2. It was derived from the GGA-PBE geometry in Alexandria, using Cu Kα, 1.54184 Å.
Intensities are scaled so that the largest is 100.

Largest 8 diffraction maxima, low angle first, 15° ≤ 2θ ≤ 90°:
2theta  I (rel.)
29.1  73
33.8  100
41.7  33
54.7  57
63.2  12
68.4  14
71.0  22
85.9  21

Cell and atoms:
```
data_Sm2TmBi2O2
_space_group_name_H-M_alt 'I 4/m m m'
_space_group_IT_number 139
_space_group_name_Hall '-I 4 2'
_cell_length_a 4.3344
_cell_length_b 4.3344
_cell_length_c 16.7826
_cell_angle_alpha 90.00
_cell_angle_beta 90.00
_cell_angle_gamma 90.00
loop_
_atom_site_label
_atom_site_type_symbol
_atom_site_fract_x
_atom_site_fract_y
_atom_site_fract_z
Sm1 Sm 0.0000 0.0000 0.1092
Tm1 Tm 0.0000 0.0000 0.5000
Bi1 Bi 0.0000 0.0000 0.3104
O1 O 0.0000 0.5000 0.0000
```

=====

The following is a computed powder X-ray diffraction pattern of SnBi2O5. It was derived from the GGA-PBE geometry in Alexandria, using Cu Kα, 1.54184 Å.
Intensities are scaled so that the largest is 100.

Largest 8 diffraction maxima, low angle first, 15° ≤ 2θ ≤ 90°:
2theta  I (rel.)
28.0  97
28.4  100
32.5  52
33.0  30
47.0  54
55.0  24
55.7  30
76.1  20

Cell and atoms:
```
data_SnBi2O5
_space_group_name_H-M_alt 'P n m a'
_space_group_IT_number 62
_cell_length_a 7.8786
_cell_length_b 3.8566
_cell_length_c 16.2614
_cell_angle_alpha 90.00
_cell_angle_beta 90.00
_cell_angle_gamma 90.00
loop_
_space_group_symop_operation_xyz
'x,y,z'
'-x,-y,-z'
'-x+1/2,-y,z+1/2'
'x+1/2,y,-z+1/2'
'x+1/2,-y+1/2,-z+1/2'
'-x+1/2,y+1/2,z+1/2'
'-x,y+1/2,-z'
'x,-y+1/2,z'
loop_
_atom_site_label
_atom_site_type_symbol
_atom_site_fract_x
_atom_site_fract_y
_atom_site_fract_z
Sn1 Sn 0.1066 0.2500 0.0736
Bi1 Bi 0.1229 0.2500 0.4185
Bi2 Bi 0.1618 0.2500 0.7542
O1 O 0.0753 0.7500 0.0378
O2 O 0.0859 0.7500 0.3282
O3 O 0.1147 0.7500 0.8543
O4 O 0.1682 0.7500 0.5054
O5 O 0.2468 0.2500 0.1810
```

=====

The following is a computed powder X-ray diffraction pattern of YSn2BiO7. It was derived from the GGA-PBE geometry in Alexandria, using Cu Kα, 1.54184 Å.
Intensities are scaled so that the largest is 100.

Largest 8 diffraction maxima, low angle first, 15° ≤ 2θ ≤ 90°:
2theta  I (rel.)
29.1  100
29.2  99
33.8  67
48.3  16
48.5  65
57.5  46
57.7  30
80.9  21

Cell and atoms:
```
data_YSn2BiO7
_space_group_name_H-M_alt 'I m m a'
_space_group_IT_number 74
_space_group_name_Hall '-I 2b 2'
_cell_length_a 7.4825
_cell_length_b 7.5345
_cell_length_c 10.6299
_cell_angle_alpha 90.00
_cell_angle_beta 90.00
_cell_angle_gamma 90.00
loop_
_atom_site_label
_atom_site_type_symbol
_atom_site_fract_x
_atom_site_fract_y
_atom_site_fract_z
Y1 Y 0.0000 0.0000 0.0000
Sn1 Sn 0.0000 0.0000 0.5000
Sn2 Sn 0.2500 0.2500 0.2500
Bi1 Bi 0.2500 0.2500 0.7500
O1 O 0.0000 0.2500 0.1641
O2 O 0.0000 0.2500 0.5846
O3 O 0.0000 0.2500 0.8832
O4 O 0.2136 0.0418 0.3774
```